No. 1
Structure and calculated PXRD pattern of Li3CeAu4 (a crystal structure in Alexandria, relaxed with PBE; a wavelength of 1.5418 Å).
No peak broadening, texture or thermal motion is included.

Atomic structure:
```
data_Li3CeAu4
_cell_length_a 4.5254
_cell_length_b 4.5254
_cell_length_c 25.3422
_cell_angle_alpha 90.00
_cell_angle_beta 90.00
_cell_angle_gamma 120.00
_space_group_name_H-M_alt 'R -3 m'
_space_group_IT_number 166
_space_group_name_Hall '-R 3 2"'
loop_
_atom_site_label
_atom_site_type_symbol
_atom_site_fract_x
_atom_site_fract_y
_atom_site_fract_z
Li1 Li 0.0000 0.0000 0.0000
Li2 Li 0.0000 0.0000 0.2646
Ce1 Ce 0.0000 0.0000 0.5000
Au1 Au 0.0000 0.0000 0.1028
Au2 Au 0.0000 0.0000 0.3726
```

The 12 most intense peaks (2θ from 15° to 90°), sorted by position:
2θ (°)  Rel. int.  (hkl)
23.76  22  0 1 2
26.75  100  1 0 4
28.80  19  0 1 5
33.70  44  1 0 7
36.47  71  0 1 8
39.84  96  1 1 0
42.48  20  1 0 10
48.64  20  0 2 4
55.11  22  2 0 8
64.62  18  2 1 4
69.43  30  1 1 15
70.13  21  1 2 8

=====

No. 2
Structure and calculated PXRD pattern of Li2CeSn2Au2 (a crystal structure in Alexandria, relaxed with PBE; a wavelength of 1.5418 Å).
No peak broadening, texture or thermal motion is included.

Atomic structure:
```
data_Li2CeSn2Au2
_cell_length_a 8.224
_cell_length_b 4.748
_cell_length_c 8.036
_cell_angle_alpha 90.00
_cell_angle_beta 110.07
_cell_angle_gamma 90.00
_space_group_name_H-M_alt 'C 1 2/m 1'
_space_group_IT_number 12
_space_group_name_Hall '-C 2y'
loop_
_atom_site_label
_atom_site_type_symbol
_atom_site_fract_x
_atom_site_fract_y
_atom_site_fract_z
Li1 Li 0.147 0.000 0.438
Ce1 Ce 0.000 0.000 0.000
Sn1 Sn 0.071 0.500 0.714
Au1 Au 0.238 0.500 0.213
```

The 12 most intense peaks (2θ from 15° to 90°), sorted by position:
2θ (°)  Rel. int.  (hkl)
23.57  32  0 0 2
26.80  81  1 1 1
35.30  70  2 0 -3
37.90  100  0 2 0
45.12  36  3 1 1
47.02  18  4 0 0
52.75  23  2 2 -3
61.91  16  4 2 0
62.88  14  0 2 4
66.75  15  5 1 -4
68.45  18  6 0 -2
81.00  12  0 4 0

=====

No. 3
Structure and calculated PXRD pattern of LiCeTlAu (a crystal structure in Alexandria, relaxed with PBE; a wavelength of 1.5418 Å).
No peak broadening, texture or thermal motion is included.

Atomic structure:
```
data_LiCeTlAu
_cell_length_a 3.405
_cell_length_b 3.405
_cell_length_c 7.651
_cell_angle_alpha 90.00
_cell_angle_beta 90.00
_cell_angle_gamma 90.00
_space_group_name_H-M_alt 'P 4 m m'
_space_group_IT_number 99
_space_group_name_Hall 'P 4 -2'
loop_
_atom_site_label
_atom_site_type_symbol
_atom_site_fract_x
_atom_site_fract_y
_atom_site_fract_z
Li1 Li 0.000 0.000 0.000
Ce1 Ce 0.000 0.000 0.553
Tl1 Tl 0.500 0.500 0.232
Au1 Au 0.500 0.500 0.818
```

The 12 most intense peaks (2θ from 15° to 90°), sorted by position:
2θ (°)  Rel. int.  (hkl)
23.25  14  0 0 2
26.17  30  1 0 0
28.70  43  1 0 1
35.19  18  0 0 3
35.29  100  1 0 2
37.35  55  1 1 0
44.43  19  1 1 2
52.25  24  1 1 3
53.85  19  2 0 0
62.16  10  2 1 1
66.02  45  2 1 2
67.06  16  1 0 5

=====

No. 4
Structure and calculated PXRD pattern of Li2CeZn2Au2 (a crystal structure in Alexandria, relaxed with PBE; a wavelength of 1.5418 Å).
No peak broadening, texture or thermal motion is included.

Atomic structure:
```
data_Li2CeZn2Au2
_cell_length_a 7.859
_cell_length_b 4.540
_cell_length_c 7.955
_cell_angle_alpha 90.00
_cell_angle_beta 109.28
_cell_angle_gamma 90.00
_space_group_name_H-M_alt 'C 1 2/m 1'
_space_group_IT_number 12
_space_group_name_Hall '-C 2y'
loop_
_atom_site_label
_atom_site_type_symbol
_atom_site_fract_x
_atom_site_fract_y
_atom_site_fract_z
Li1 Li 0.141 0.000 0.423
Ce1 Ce 0.000 0.000 0.000
Zn1 Zn 0.073 0.500 0.718
Au1 Au 0.244 0.500 0.232
```

The 12 most intense peaks (2θ from 15° to 90°), sorted by position:
2θ (°)  Rel. int.  (hkl)
23.70  29  0 0 2
23.98  17  2 0 0
27.68  100  2 0 -2
36.07  34  1 1 2
39.36  27  2 0 2
39.72  78  0 2 0
46.77  29  0 2 2
49.10  21  2 2 -2
64.41  28  0 2 4
64.91  19  5 1 -3
72.09  13  6 0 -2
85.58  13  0 4 0

=====

No. 5
Structure and calculated PXRD pattern of Ce2MgAu4 (a crystal structure in Alexandria, relaxed with PBE; a wavelength of 1.5418 Å).
No peak broadening, texture or thermal motion is included.

Atomic structure:
```
data_Ce2MgAu4
_cell_length_a 4.6278
_cell_length_b 4.6278
_cell_length_c 28.1544
_cell_angle_alpha 90.00
_cell_angle_beta 90.00
_cell_angle_gamma 120.00
_space_group_name_H-M_alt 'R -3 m'
_space_group_IT_number 166
_space_group_name_Hall '-R 3 2"'
loop_
_atom_site_label
_atom_site_type_symbol
_atom_site_fract_x
_atom_site_fract_y
_atom_site_fract_z
Ce1 Ce 0.0000 0.0000 0.2480
Mg1 Mg 0.0000 0.0000 0.0000
Au1 Au 0.0000 0.0000 0.1382
Au2 Au 0.0000 0.0000 0.3602
```

The 12 most intense peaks (2θ from 15° to 90°), sorted by position:
2θ (°)  Rel. int.  (hkl)
23.07  49  0 1 2
25.58  47  1 0 4
33.90  99  0 1 8
38.92  100  1 1 0
39.10  61  1 0 10
52.55  29  2 0 8
56.35  21  0 2 10
67.29  28  1 2 8
70.49  18  3 0 0
70.61  22  2 1 10
73.01  29  1 1 18
83.57  12  2 2 0

=====

No. 6
Structure and calculated PXRD pattern of Ce2MgAu (a crystal structure in Alexandria, relaxed with PBE; a wavelength of 1.5418 Å).
No peak broadening, texture or thermal motion is included.

Atomic structure:
```
data_Ce2MgAu
_cell_length_a 5.171
_cell_length_b 5.086
_cell_length_c 6.790
_cell_angle_alpha 90.00
_cell_angle_beta 90.76
_cell_angle_gamma 90.00
_space_group_name_H-M_alt 'P 1 21/m 1'
_space_group_IT_number 11
_space_group_name_Hall '-P 2yb'
loop_
_atom_site_label
_atom_site_type_symbol
_atom_site_fract_x
_atom_site_fract_y
_atom_site_fract_z
Ce1 Ce 0.087 0.250 0.403
Ce2 Ce 0.407 0.750 0.381
Mg1 Mg 0.117 0.250 0.914
Au1 Au 0.387 0.750 0.893
```

The 12 most intense peaks (2θ from 15° to 90°), sorted by position:
2θ (°)  Rel. int.  (hkl)
17.15  27  1 0 0
21.79  31  1 0 1
31.33  31  1 0 -2
31.71  59  1 0 2
35.30  75  0 2 0
36.08  85  1 1 -2
36.42  84  1 1 2
39.09  100  2 1 0
47.92  24  1 2 -2
59.91  24  3 0 -2
65.89  22  2 3 0
69.14  22  2 1 4

=====

No. 7
Structure and calculated PXRD pattern of CeMgSc2Au4 (a crystal structure in Alexandria, relaxed with PBE; a wavelength of 1.5418 Å).
No peak broadening, texture or thermal motion is included.

Atomic structure:
```
data_CeMgSc2Au4
_cell_length_a 4.7717
_cell_length_b 4.7717
_cell_length_c 25.7467
_cell_angle_alpha 90.00
_cell_angle_beta 90.00
_cell_angle_gamma 120.00
_space_group_name_H-M_alt 'R -3 m'
_space_group_IT_number 166
_space_group_name_Hall '-R 3 2"'
loop_
_atom_site_label
_atom_site_type_symbol
_atom_site_fract_x
_atom_site_fract_y
_atom_site_fract_z
Ce1 Ce 0.0000 0.0000 0.0000
Mg1 Mg 0.0000 0.0000 0.5000
Sc1 Sc 0.0000 0.0000 0.2403
Au1 Au 0.0000 0.0000 0.1247
Au2 Au 0.0000 0.0000 0.3927
```

The 12 most intense peaks (2θ from 15° to 90°), sorted by position:
2θ (°)  Rel. int.  (hkl)
25.62  61  1 0 4
27.68  12  0 1 5
32.59  16  1 0 7
35.35  86  0 1 8
37.70  100  1 1 0
41.32  15  1 0 10
46.14  13  0 2 4
52.64  28  2 0 8
61.05  12  2 1 4
66.55  27  1 2 8
67.19  14  1 1 15
68.07  18  3 0 0

=====

No. 8
Structure and calculated PXRD pattern of CeMg2ScAu4 (a crystal structure in Alexandria, relaxed with PBE; a wavelength of 1.5418 Å).
No peak broadening, texture or thermal motion is included.

Atomic structure:
```
data_CeMg2ScAu4
_cell_length_a 4.8034
_cell_length_b 4.8034
_cell_length_c 24.7462
_cell_angle_alpha 90.00
_cell_angle_beta 90.00
_cell_angle_gamma 120.00
_space_group_name_H-M_alt 'R -3 m'
_space_group_IT_number 166
_space_group_name_Hall '-R 3 2"'
loop_
_atom_site_label
_atom_site_type_symbol
_atom_site_fract_x
_atom_site_fract_y
_atom_site_fract_z
Ce1 Ce 0.0000 0.0000 0.0000
Mg1 Mg 0.0000 0.0000 0.2450
Sc1 Sc 0.0000 0.0000 0.5000
Au1 Au 0.0000 0.0000 0.1284
Au2 Au 0.0000 0.0000 0.3866
```

The 12 most intense peaks (2θ from 15° to 90°), sorted by position:
2θ (°)  Rel. int.  (hkl)
22.55  10  0 1 2
25.81  70  1 0 4
33.26  11  1 0 7
36.19  95  0 1 8
37.45  100  1 1 0
46.04  16  0 2 4
53.06  32  2 0 8
60.78  14  2 1 4
64.25  11  1 0 16
66.74  32  1 2 8
67.55  18  3 0 0
79.88  11  2 2 0

=====

No. 9
Structure and calculated PXRD pattern of CeMg2SnAu4 (a crystal structure in Alexandria, relaxed with PBE; a wavelength of 1.5418 Å).
No peak broadening, texture or thermal motion is included.

Atomic structure:
```
data_CeMg2SnAu4
_cell_length_a 4.5949
_cell_length_b 4.5949
_cell_length_c 28.3840
_cell_angle_alpha 90.00
_cell_angle_beta 90.00
_cell_angle_gamma 120.00
_space_group_name_H-M_alt 'R -3 m'
_space_group_IT_number 166
_space_group_name_Hall '-R 3 2"'
loop_
_atom_site_label
_atom_site_type_symbol
_atom_site_fract_x
_atom_site_fract_y
_atom_site_fract_z
Ce1 Ce 0.0000 0.0000 0.0000
Mg1 Mg 0.0000 0.0000 0.2432
Sn1 Sn 0.0000 0.0000 0.5000
Au1 Au 0.0000 0.0000 0.1179
Au2 Au 0.0000 0.0000 0.3903
```

The 12 most intense peaks (2θ from 15° to 90°), sorted by position:
2θ (°)  Rel. int.  (hkl)
23.21  28  0 1 2
25.67  42  1 0 4
33.85  100  0 1 8
38.98  37  1 0 10
39.21  88  1 1 0
52.75  29  2 0 8
56.48  13  0 2 10
67.66  27  1 2 8
70.91  13  2 1 10
71.07  16  3 0 0
72.74  21  1 1 18
84.31  10  2 2 0

=====

No. 10
Structure and calculated PXRD pattern of Sr2CeMgAu6 (a crystal structure in Alexandria, relaxed with PBE; a wavelength of 1.5418 Å).
No peak broadening, texture or thermal motion is included.

Atomic structure:
```
data_Sr2CeMgAu6
_cell_length_a 10.623
_cell_length_b 10.619
_cell_length_c 7.510
_cell_angle_alpha 90.00
_cell_angle_beta 134.93
_cell_angle_gamma 90.00
_space_group_name_H-M_alt 'C 1 2/m 1'
_space_group_IT_number 12
_space_group_name_Hall '-C 2y'
loop_
_atom_site_label
_atom_site_type_symbol
_atom_site_fract_x
_atom_site_fract_y
_atom_site_fract_z
Sr1 Sr 0.000 0.250 0.000
Ce1 Ce 0.000 0.000 0.500
Mg1 Mg 0.000 0.500 0.500
Au1 Au 0.000 0.262 0.500
Au2 Au 0.238 0.500 0.500
Au3 Au 0.238 0.500 0.976
```

The 12 most intense peaks (2θ from 15° to 90°), sorted by position:
2θ (°)  Rel. int.  (hkl)
16.69  30  0 2 0
29.11  100  2 2 0
33.74  84  0 4 0
36.87  8  1 3 -2
37.87  15  2 0 1
48.47  60  4 0 0
51.61  8  0 6 0
57.54  43  2 6 0
60.36  20  4 4 0
78.45  11  6 2 0
80.86  9  4 0 2
80.96  17  0 8 2

=====

No. 11
Structure and calculated PXRD pattern of Ce2PtAu2N2 (a crystal structure in Alexandria, relaxed with PBE; a wavelength of 1.5418 Å).
No peak broadening, texture or thermal motion is included.

Atomic structure:
```
data_Ce2PtAu2N2
_cell_length_a 4.9474
_cell_length_b 4.9474
_cell_length_c 7.8114
_cell_angle_alpha 90.00
_cell_angle_beta 90.00
_cell_angle_gamma 120.00
_space_group_name_H-M_alt 'P -3 m 1'
_space_group_IT_number 164
_space_group_name_Hall '-P 3 2"'
loop_
_atom_site_label
_atom_site_type_symbol
_atom_site_fract_x
_atom_site_fract_y
_atom_site_fract_z
Ce1 Ce 0.3333 0.6667 0.1630
Pt1 Pt 0.0000 0.0000 0.5000
Au1 Au 0.0000 0.0000 0.1725
N1 N 0.3333 0.6667 0.9080
```

The 12 most intense peaks (2θ from 15° to 90°), sorted by position:
2θ (°)  Rel. int.  (hkl)
20.73  94  1 0 0
23.68  34  1 0 1
34.44  36  0 0 3
36.32  100  1 1 0
40.54  37  0 1 3
42.18  16  2 0 0
50.92  72  1 1 3
65.34  18  3 0 0
68.20  16  2 1 3
76.00  22  3 0 3
84.00  17  1 1 6
87.27  16  2 2 3

=====

No. 12
Structure and calculated PXRD pattern of NaCe2Au6 (a crystal structure in Alexandria, relaxed with PBE; a wavelength of 1.5418 Å).
No peak broadening, texture or thermal motion is included.

Atomic structure:
```
data_NaCe2Au6
_cell_length_a 3.779
_cell_length_b 7.636
_cell_length_c 15.031
_cell_angle_alpha 90.00
_cell_angle_beta 90.00
_cell_angle_gamma 90.00
_space_group_name_H-M_alt 'I m m m'
_space_group_IT_number 71
_space_group_name_Hall '-I 2 2'
loop_
_atom_site_label
_atom_site_type_symbol
_atom_site_fract_x
_atom_site_fract_y
_atom_site_fract_z
Na1 Na 0.000 0.000 0.000
Ce1 Ce 0.000 0.500 0.138
Au1 Au 0.000 0.191 0.500
Au2 Au 0.000 0.311 0.323
```

The 12 most intense peaks (2θ from 15° to 90°), sorted by position:
2θ (°)  Rel. int.  (hkl)
23.30  34  0 2 0
24.28  58  1 0 1
28.91  41  1 1 2
33.90  97  1 2 1
35.69  40  1 1 4
35.84  62  0 0 6
38.26  72  1 0 5
39.72  100  0 3 3
44.58  43  1 3 2
48.16  36  2 0 0
64.13  49  2 3 3
66.64  46  1 3 8